[1]
Diffraction record for AgH4Pt. The powder diffractogram is computed, not measured: it uses a crystal structure in Alexandria, relaxed with GGA-PBE and Cu Kα.

The 10 most intense peaks (10 to 90 degrees two-theta), low angle first:
2θ (°)	I_rel	index
29.61	99	1 1 1
29.92	62	0 0 2
34.91	30	0 4 0
38.79	100	1 3 1
46.62	28	0 4 2
49.02	18	2 0 0
52.92	19	1 1 3
58.49	19	2 0 2
59.14	29	1 3 3
70.76	17	1 7 1

Cell: 3.7173 10.2805 5.9735 Å, 90.00 90.00 90.00°
Space group Cmcm (No. 63)
Asymmetric unit:
Ag 0.0000 0.1187 0.2500 [4 per cell]
H 0.0000 0.1008 0.7500 [4 per cell]
H 0.0000 0.2850 0.0672 [8 per cell]
H 0.0000 0.5000 0.0000 [4 per cell]
Pt 0.0000 0.4021 0.2500 [4 per cell]

[2]
Diffraction record for AgHPt. The powder diffractogram is computed, not measured: it uses a crystal structure in Alexandria, relaxed with GGA-PBE and Cu Kα.

The 10 most intense peaks (10 to 90 degrees two-theta), low angle first:
2θ (°)	I_rel	index
19.05	10	1 0 0
32.02	12	0 1 1
37.52	100	1 1 1
38.64	25	2 0 0
40.07	16	0 0 2
44.72	12	1 0 2
51.24	11	0 2 0
56.89	12	2 0 2
65.98	10	2 2 0
69.20	16	3 1 1

Cell: 4.6598 3.5659 4.5003 Å, 90.00 90.00 90.00°
Space group Amm2 (No. 38)
Asymmetric unit:
Ag 0.0000 0.0000 0.0000 [2 per cell]
H 0.5000 0.0000 0.8056 [2 per cell]
Pt 0.5000 0.0000 0.4067 [2 per cell]

[3]
Diffraction record for AgHPtRhS. The powder diffractogram is computed, not measured: it uses a crystal structure in Alexandria, relaxed with GGA-PBE and Cu Kα.

The 10 most intense peaks (10 to 90 degrees two-theta), low angle first:
2θ (°)	I_rel	index
10.64	100	0 0 1
32.30	32	0 0 3
32.64	41	1 1 0
35.55	51	1 1 1
35.76	24	2 0 -2
37.28	91	1 1 -2
41.35	48	1 1 2
43.54	27	0 0 4
43.85	34	1 1 -3
58.08	32	3 1 -1

Cell: 5.4918 3.1924 8.5086 Å, 90.00 102.28 90.00°
Space group Cm (No. 8)
Asymmetric unit:
Ag 0.0000 0.0000 0.0000 [2 per cell]
H 0.4226 0.0000 0.2812 [2 per cell]
Pt 0.2541 0.5000 0.2676 [2 per cell]
Rh 0.1818 0.0000 0.5393 [2 per cell]
S 0.3984 0.5000 0.6939 [2 per cell]